For CaYMg6, the GGA-PBE geometry in the Materials Project gives the theoretical PXRD pattern in this record (Cu Kα).
Kinematic intensities with the Lorentz-polarization factor, no thermal factor.

Largest 12 diffraction maxima, low angle first, 5 to 70 degrees two-theta:
d = 5.938 Å, rel. 19; d = 3.923 Å, rel. 26; d = 3.856 Å, rel. 14; d = 2.969 Å, rel. 17; d = 2.856 Å, rel. 18; d = 2.613 Å, rel. 32; d = 2.582 Å, rel. 100; d = 2.506 Å, rel. 33; d = 1.928 Å, rel. 11; d = 1.670 Å, rel. 17; d = 1.503 Å, rel. 17; d = 1.407 Å, rel. 15

Cell lengths 5.2265, 6.9510, 11.4255 Å; angles 90.00, 90.00, 90.00 degrees
Space group Amm2 (No. 38)
Symmetry-distinct sites (fractional):
Ca 0.0000 0.0000 0.0000 (multiplicity 2)
Y 0.5000 0.0000 0.6899 (multiplicity 2)
Mg 0.0000 0.0000 0.5110 (multiplicity 2)
Mg 0.0000 0.2356 0.2571 (multiplicity 4)
Mg 0.5000 0.0000 0.1861 (multiplicity 2)
Mg 0.5000 0.2306 0.4328 (multiplicity 4)